# 1
Starting from a GGA-PBE-relaxed structure, the X-ray diffraction stick pattern of Ba2CaPd3O6 was simulated for copper Kα.
Peak positions follow from Bragg's law for the DFT cell and can differ from measured ones.

The 10 most intense peaks (2θ from 10° to 80°), low angle first:
21.55°, d = 4.123 Å, I = 28.4
27.85°, d = 3.204 Å, I = 100.0
28.02°, d = 3.184 Å, I = 56.6
30.80°, d = 2.903 Å, I = 65.5
35.90°, d = 2.501 Å, I = 52.8
38.71°, d = 2.326 Å, I = 25.5
38.92°, d = 2.314 Å, I = 30.0
42.32°, d = 2.136 Å, I = 37.2
43.92°, d = 2.062 Å, I = 33.8
53.26°, d = 1.720 Å, I = 30.6

Structural model:
Cell: 7.312 7.312 8.822 Å, 107.87 107.87 105.03°
Element x y z (fractional)
Ba 0.000 0.000 0.000
Ba 0.014 0.979 0.496
Ba 0.482 0.505 0.493
Ba 0.497 0.490 0.992
Ca 0.579 0.067 0.151
Ca 0.925 0.419 0.846
Pd 0.245 0.743 0.800
Pd 0.259 0.749 0.201
Pd 0.569 0.056 0.803
Pd 0.576 0.073 0.495
Pd 0.927 0.412 0.496
Pd 0.941 0.429 0.199
O 0.159 0.413 0.707
O 0.168 0.428 0.110
O 0.324 0.055 0.884
O 0.343 0.066 0.289
O 0.548 0.281 0.701
O 0.559 0.818 0.891
O 0.579 0.835 0.300
O 0.718 0.442 0.289
O 0.779 0.036 0.696
O 0.926 0.657 0.706
O 0.933 0.659 0.105
O 0.947 0.208 0.294

# 2
Starting from a GGA-PBE-relaxed structure, the X-ray diffraction stick pattern of Ba2CaPd3O6 was simulated for copper Kα.
Peak positions follow from Bragg's law for the DFT cell and can differ from measured ones.

The 10 most intense peaks (2θ from 10° to 80°), low angle first:
21.55°, d = 4.123 Å, I = 27.4
27.85°, d = 3.204 Å, I = 100.0
28.02°, d = 3.184 Å, I = 56.3
30.80°, d = 2.903 Å, I = 66.5
35.90°, d = 2.501 Å, I = 54.3
38.71°, d = 2.326 Å, I = 27.1
38.92°, d = 2.314 Å, I = 29.1
42.32°, d = 2.136 Å, I = 35.9
43.92°, d = 2.062 Å, I = 34.3
53.26°, d = 1.720 Å, I = 32.4

Structural model:
Cell: 9.576 8.822 7.312 Å, 72.13 61.26 46.61°
Element x y z (fractional)
Ba 0.233 0.767 0.233
Ba 0.250 0.250 0.250
Ba 0.750 0.750 0.750
Ba 0.767 0.233 0.767
Ca 0.329 0.329 0.671
Ca 0.671 0.671 0.329
Pd 0.006 0.690 0.994
Pd 0.310 0.994 0.690
Pd 0.325 0.675 0.675
Pd 0.675 0.325 0.325
Pd 0.690 0.006 0.310
Pd 0.994 0.310 0.006
O 0.078 0.313 0.687
O 0.094 0.703 0.672
O 0.297 0.906 0.469
O 0.313 0.078 0.922
O 0.328 0.469 0.906
O 0.469 0.328 0.297
O 0.531 0.672 0.703
O 0.672 0.531 0.094
O 0.687 0.922 0.078
O 0.703 0.094 0.531
O 0.906 0.297 0.328
O 0.922 0.687 0.313